# U2Pb4Se9
Computed powder diffractogram, a wavelength of 1.5418 Å. Input: the PBE geometry in Alexandria.
Lines closer than 0.1° are merged.

Cell and atoms:
Cell: 7.464 7.464 19.955 Å, 90.00 90.00 60.00°
Fractional positions:
U 0.000 0.000 0.156
U 0.000 0.000 0.344
U 0.000 0.000 0.656
U 0.000 0.000 0.844
Pb 0.333 0.333 0.479
Pb 0.333 0.333 0.979
Pb 0.333 0.334 0.677
Pb 0.334 0.333 0.177
Pb 0.666 0.667 0.823
Pb 0.667 0.666 0.323
Pb 0.667 0.667 0.021
Pb 0.667 0.667 0.521
Se 0.000 0.279 0.750
Se 0.000 0.721 0.250
Se 0.031 0.298 0.085
Se 0.031 0.670 0.585
Se 0.279 0.000 0.250
Se 0.279 0.721 0.750
Se 0.298 0.031 0.585
Se 0.299 0.670 0.085
Se 0.330 0.701 0.415
Se 0.330 0.969 0.915
Se 0.670 0.031 0.085
Se 0.670 0.299 0.585
Se 0.701 0.330 0.915
Se 0.702 0.969 0.415
Se 0.721 0.000 0.750
Se 0.721 0.279 0.250
Se 0.969 0.330 0.415
Se 0.969 0.702 0.915

Top 6 peaks for 5° ≤ 2θ ≤ 70°, by angle:
5.425 Å, 16.3 deg, I 44; 3.949 Å, 22.5 deg, I 66; 3.732 Å, 23.8 deg, I 62; 2.713 Å, 33.0 deg, I 38; 2.483 Å, 36.2 deg, I 100; 2.155 Å, 41.9 deg, I 57

=====

# ErAlCdAu
Computed powder diffractogram, a wavelength of 1.5418 Å. Input: the PBE geometry in Alexandria.
Lines closer than 0.1° are merged.

Cell and atoms:
Cell: 4.868 4.868 4.868 Å, 60.00 60.00 60.00°
Fractional positions:
Er 0.000 0.000 0.000
Al 0.500 0.500 0.500
Cd 0.750 0.750 0.750
Au 0.250 0.250 0.250

Top 6 peaks for 5° ≤ 2θ ≤ 70°, by angle:
3.975 Å, 22.4 deg, I 24; 3.442 Å, 25.9 deg, I 7; 2.434 Å, 36.9 deg, I 100; 2.076 Å, 43.6 deg, I 13; 1.721 Å, 53.2 deg, I 17; 1.405 Å, 66.5 deg, I 36

=====

# SrAlFeP
Computed powder diffractogram, a wavelength of 1.5418 Å. Input: the PBE geometry in Alexandria.
Lines closer than 0.1° are merged.

Cell and atoms:
Cell: 3.829 3.829 11.354 Å, 90.00 90.00 90.00°
Fractional positions:
Sr 0.250 0.250 0.239
Sr 0.750 0.750 0.761
Al 0.250 0.750 0.500
Al 0.750 0.250 0.500
Fe 0.250 0.750 0.000
Fe 0.750 0.250 0.000
P 0.250 0.250 0.901
P 0.750 0.750 0.099

Top 6 peaks for 5° ≤ 2θ ≤ 70°, by angle:
11.354 Å, 7.8 deg, I 100; 3.628 Å, 24.5 deg, I 34; 2.692 Å, 33.3 deg, I 43; 2.444 Å, 36.8 deg, I 66; 1.915 Å, 47.5 deg, I 24; 1.551 Å, 59.6 deg, I 21

=====

# CsAlFe2I8
Computed powder diffractogram, a wavelength of 1.5418 Å. Input: the PBE geometry in Alexandria.
Lines closer than 0.1° are merged.

Cell and atoms:
Cell: 7.168 7.168 11.010 Å, 96.34 96.34 68.41°
Fractional positions:
Cs 0.000 0.000 0.000
Al 0.000 0.000 0.500
Fe 0.382 0.382 0.698
Fe 0.618 0.618 0.302
I 0.223 0.732 0.313
I 0.234 0.234 0.499
I 0.268 0.777 0.687
I 0.320 0.320 0.912
I 0.680 0.680 0.088
I 0.732 0.223 0.313
I 0.766 0.766 0.501
I 0.777 0.268 0.687

Top 6 peaks for 5° ≤ 2θ ≤ 70°, by angle:
3.756 Å, 23.7 deg, I 27; 3.323 Å, 26.8 deg, I 42; 3.296 Å, 27.1 deg, I 41; 3.244 Å, 27.5 deg, I 100; 2.937 Å, 30.4 deg, I 26; 2.095 Å, 43.2 deg, I 52

=====

# EuScPb2
Computed powder diffractogram, a wavelength of 1.5418 Å. Input: the PBE geometry in Alexandria.
Lines closer than 0.1° are merged.

Cell and atoms:
Cell: 5.424 5.424 5.424 Å, 60.00 60.00 60.00°
Fractional positions:
Eu 0.000 0.000 0.000
Sc 0.500 0.500 0.500
Pb 0.250 0.250 0.250
Pb 0.750 0.750 0.750

Top 6 peaks for 5° ≤ 2θ ≤ 70°, by angle:
4.428 Å, 20.1 deg, I 7; 3.835 Å, 23.2 deg, I 14; 2.712 Å, 33.0 deg, I 100; 1.918 Å, 47.4 deg, I 18; 1.566 Å, 59.0 deg, I 38; 1.356 Å, 69.3 deg, I 12

=====

# Ce3Nd3DyS8
Computed powder diffractogram, a wavelength of 1.5418 Å. Input: the PBE geometry in Alexandria.
Lines closer than 0.1° are merged.

Cell and atoms:
Cell: 8.078 8.078 8.078 Å, 59.99 59.99 59.99°
Fractional positions:
Ce 0.000 0.500 0.500
Ce 0.500 0.000 0.500
Ce 0.500 0.500 0.000
Nd 0.000 0.000 0.500
Nd 0.000 0.500 0.000
Nd 0.500 0.000 0.000
Dy 0.000 0.000 0.000
S 0.243 0.243 0.755
S 0.243 0.755 0.243
S 0.245 0.757 0.757
S 0.251 0.251 0.251
S 0.749 0.749 0.749
S 0.755 0.243 0.243
S 0.757 0.245 0.757
S 0.757 0.757 0.245

Top 6 peaks for 5° ≤ 2θ ≤ 70°, by angle:
6.595 Å, 13.4 deg, I 17; 3.297 Å, 27.0 deg, I 64; 2.856 Å, 31.3 deg, I 100; 2.019 Å, 44.9 deg, I 72; 1.722 Å, 53.2 deg, I 32; 1.649 Å, 55.8 deg, I 25

=====

# Pm2Nd7Sc2
Computed powder diffractogram, a wavelength of 1.5418 Å. Input: the PBE geometry in Alexandria.
Lines closer than 0.1° are merged.

Cell and atoms:
Cell: 10.758 10.758 10.758 Å, 160.63 68.91 114.61°
Fractional positions:
Pm 0.000 0.000 0.000
Pm 0.737 0.237 0.500
Nd 0.232 0.540 0.692
Nd 0.305 0.305 0.000
Nd 0.389 0.012 0.377
Nd 0.621 0.783 0.838
Nd 0.635 0.012 0.623
Nd 0.848 0.540 0.308
Nd 0.945 0.783 0.162
Sc 0.106 0.288 0.818
Sc 0.470 0.288 0.182

Top 6 peaks for 5° ≤ 2θ ≤ 70°, by angle:
3.394 Å, 26.3 deg, I 26; 3.221 Å, 27.7 deg, I 36; 2.957 Å, 30.2 deg, I 24; 2.905 Å, 30.8 deg, I 38; 2.726 Å, 32.8 deg, I 100; 2.616 Å, 34.3 deg, I 24

=====

# PuCuSbO5
Computed powder diffractogram, a wavelength of 1.5418 Å. Input: the PBE geometry in Alexandria.
Lines closer than 0.1° are merged.

Cell and atoms:
Cell: 6.125 6.125 7.445 Å, 103.06 103.06 109.28°
Fractional positions:
Pu 0.000 0.500 0.000
Pu 0.500 0.000 0.500
Cu 0.025 0.975 0.750
Cu 0.975 0.025 0.250
Sb 0.461 0.539 0.750
Sb 0.539 0.461 0.250
O 0.133 0.752 0.906
O 0.247 0.310 0.909
O 0.248 0.867 0.594
O 0.310 0.247 0.409
O 0.340 0.660 0.250
O 0.660 0.340 0.750
O 0.690 0.753 0.591
O 0.752 0.133 0.406
O 0.753 0.690 0.091
O 0.867 0.248 0.094

Top 6 peaks for 5° ≤ 2θ ≤ 70°, by angle:
5.176 Å, 17.1 deg, I 100; 3.721 Å, 23.9 deg, I 94; 3.026 Å, 29.5 deg, I 56; 2.918 Å, 30.6 deg, I 64; 2.826 Å, 31.7 deg, I 86; 2.732 Å, 32.8 deg, I 62